Structure and simulated powder X-ray diffraction pattern of KZn2H2 (the PBE geometry in Alexandria; λ = 1.5418 Å (Cu Kα)).
Kinematic intensities with the Lorentz-polarization factor, no thermal factor.

Main lines, low angle first (2θ from 10° to 90°):
| 2θ/deg | I_rel |
| --- | --- |
| 23.67 | 14 |
| 30.62 | 84 |
| 36.80 | 100 |
| 43.86 | 32 |
| 58.55 | 48 |
| 72.38 | 12 |

Crystal structure
Cell lengths 5.400, 5.400, 5.400 Å; angles 135.05, 135.05, 65.45 degrees
Positions (direct):
K  0.000  0.000  0.000
Zn  0.345  0.345  0.000
Zn  0.655  0.655  0.000
H  0.250  0.750  0.500
H  0.750  0.250  0.500

Structure and simulated powder X-ray diffraction pattern of Tm8Se6S (the PBE geometry in Alexandria; λ = 1.5418 Å (Cu Kα)).
Kinematic intensities with the Lorentz-polarization factor, no thermal factor.

Main lines, low angle first (2θ from 10° to 90°):
| 2θ/deg | I_rel |
| --- | --- |
| 26.37 | 58 |
| 31.44 | 25 |
| 36.29 | 100 |
| 37.07 | 62 |
| 38.20 | 72 |
| 59.17 | 24 |

Crystal structure
Cell lengths 8.400, 8.400, 5.691 Å; angles 90.00, 90.00, 120.00 degrees
Positions (direct):
Tm  0.000  0.267  0.266
Tm  0.000  0.733  0.734
Tm  0.267  0.000  0.266
Tm  0.267  0.267  0.734
Tm  0.333  0.667  0.000
Tm  0.667  0.333  0.000
Tm  0.733  0.000  0.734
Tm  0.733  0.733  0.266
Se  0.000  0.386  0.752
Se  0.000  0.614  0.248
Se  0.386  0.000  0.752
Se  0.386  0.386  0.248
Se  0.614  0.000  0.248
Se  0.614  0.614  0.752
S  0.000  0.000  0.000

Structure and simulated powder X-ray diffraction pattern of CaCu2Br8 (the PBE geometry in Alexandria; λ = 1.5418 Å (Cu Kα)).
Kinematic intensities with the Lorentz-polarization factor, no thermal factor.

Main lines, low angle first (2θ from 10° to 90°):
| 2θ/deg | I_rel |
| --- | --- |
| 17.14 | 45 |
| 28.28 | 100 |
| 35.50 | 77 |
| 38.92 | 68 |
| 49.85 | 29 |
| 56.79 | 25 |

Crystal structure
Cell lengths 7.904, 7.904, 7.904 Å; angles 124.85, 124.85, 81.78 degrees
Positions (direct):
Ca  0.000  0.000  0.000
Cu  0.250  0.750  0.500
Cu  0.750  0.250  0.500
Br  0.058  0.555  0.847
Br  0.211  0.058  0.503
Br  0.292  0.445  0.503
Br  0.445  0.942  0.153
Br  0.555  0.708  0.497
Br  0.708  0.211  0.153
Br  0.789  0.292  0.847
Br  0.942  0.789  0.497

Structure and simulated powder X-ray diffraction pattern of Ti5Zn (the PBE geometry in Alexandria; λ = 1.5418 Å (Cu Kα)).
Kinematic intensities with the Lorentz-polarization factor, no thermal factor.

Main lines, low angle first (2θ from 10° to 90°):
| 2θ/deg | I_rel |
| --- | --- |
| 38.77 | 41 |
| 38.95 | 100 |
| 39.51 | 92 |
| 41.12 | 45 |
| 55.56 | 16 |
| 57.80 | 23 |

Crystal structure
Cell lengths 5.424, 5.424, 5.649 Å; angles 121.31, 121.31, 47.75 degrees
Positions (direct):
Ti  0.000  0.000  0.000
Ti  0.000  0.000  0.483
Ti  0.340  0.340  0.082
Ti  0.374  0.374  0.616
Ti  0.671  0.671  0.412
Zn  0.684  0.684  0.924

Structure and simulated powder X-ray diffraction pattern of Pm5Pr3Sc2 (the PBE geometry in Alexandria; λ = 1.5418 Å (Cu Kα)).
Kinematic intensities with the Lorentz-polarization factor, no thermal factor.

Main lines, low angle first (2θ from 10° to 90°):
| 2θ/deg | I_rel |
| --- | --- |
| 30.49 | 100 |
| 35.27 | 17 |
| 35.40 | 34 |
| 50.84 | 29 |
| 60.36 | 14 |
| 60.48 | 14 |

Crystal structure
Cell lengths 9.493, 9.495, 9.501 Å; angles 106.61, 106.75, 115.17 degrees
Positions (direct):
Pm  0.020  0.074  0.345
Pm  0.132  0.383  0.751
Pm  0.229  0.675  0.154
Pm  0.275  0.821  0.849
Pm  0.380  0.130  0.249
Pm  0.620  0.870  0.751
Pm  0.725  0.179  0.151
Pm  0.771  0.325  0.846
Pm  0.868  0.617  0.249
Pm  0.980  0.926  0.655
Pr  0.079  0.230  0.052
Pr  0.321  0.971  0.552
Pr  0.472  0.426  0.652
Pr  0.528  0.574  0.348
Pr  0.679  0.029  0.448
Pr  0.921  0.770  0.948
Sc  0.167  0.523  0.451
Sc  0.427  0.281  0.951
Sc  0.573  0.719  0.049
Sc  0.833  0.477  0.549

Structure and simulated powder X-ray diffraction pattern of PaSnH6Ru3 (the PBE geometry in Alexandria; λ = 1.5418 Å (Cu Kα)).
Kinematic intensities with the Lorentz-polarization factor, no thermal factor.

Main lines, low angle first (2θ from 10° to 90°):
| 2θ/deg | I_rel |
| --- | --- |
| 24.09 | 97 |
| 30.47 | 98 |
| 36.66 | 43 |
| 37.25 | 100 |
| 44.85 | 75 |
| 49.33 | 43 |

Crystal structure
Cell lengths 4.920, 4.920, 4.920 Å; angles 97.34, 97.34, 97.34 degrees
Positions (direct):
Pa  0.000  0.000  0.000
Sn  0.415  0.415  0.415
H  0.175  0.547  0.885
H  0.175  0.885  0.547
H  0.547  0.175  0.885
H  0.547  0.885  0.175
H  0.885  0.175  0.547
H  0.885  0.547  0.175
Ru  0.574  0.574  0.966
Ru  0.574  0.966  0.574
Ru  0.966  0.574  0.574

Structure and simulated powder X-ray diffraction pattern of RbBa4Cl8 (the PBE geometry in Alexandria; λ = 1.5418 Å (Cu Kα)).
Kinematic intensities with the Lorentz-polarization factor, no thermal factor.

Main lines, low angle first (2θ from 10° to 90°):
| 2θ/deg | I_rel |
| --- | --- |
| 20.38 | 56 |
| 33.59 | 100 |
| 39.61 | 30 |
| 48.24 | 17 |
| 60.06 | 34 |
| 80.50 | 15 |

Crystal structure
Cell lengths 7.546, 7.546, 7.546 Å; angles 90.00, 90.00, 90.00 degrees
Positions (direct):
Rb  0.000  0.000  0.000
Ba  0.000  0.000  0.500
Ba  0.000  0.500  0.000
Ba  0.500  0.000  0.000
Ba  0.500  0.500  0.500
Cl  0.248  0.248  0.248
Cl  0.248  0.248  0.752
Cl  0.248  0.752  0.248
Cl  0.248  0.752  0.752
Cl  0.752  0.248  0.248
Cl  0.752  0.248  0.752
Cl  0.752  0.752  0.248
Cl  0.752  0.752  0.752

Structure and simulated powder X-ray diffraction pattern of HfTaCuIr (the PBE geometry in Alexandria; λ = 1.5418 Å (Cu Kα)).
Kinematic intensities with the Lorentz-polarization factor, no thermal factor.

Main lines, low angle first (2θ from 10° to 90°):
| 2θ/deg | I_rel |
| --- | --- |
| 23.93 | 9 |
| 39.58 | 100 |
| 46.78 | 5 |
| 57.22 | 17 |
| 71.81 | 35 |
| 85.25 | 11 |

Crystal structure
Cell lengths 4.554, 4.554, 4.554 Å; angles 60.00, 60.00, 60.00 degrees
Positions (direct):
Hf  0.000  0.000  0.000
Ta  0.500  0.500  0.500
Cu  0.250  0.250  0.250
Ir  0.750  0.750  0.750

Structure and simulated powder X-ray diffraction pattern of Rb3Tl3Sn8 (the PBE geometry in Alexandria; λ = 1.5418 Å (Cu Kα)).
Kinematic intensities with the Lorentz-polarization factor, no thermal factor.

Main lines, low angle first (2θ from 10° to 90°):
| 2θ/deg | I_rel |
| --- | --- |
| 28.67 | 100 |
| 30.63 | 40 |
| 33.81 | 35 |
| 36.10 | 33 |
| 36.48 | 25 |
| 50.29 | 23 |

Crystal structure
Cell lengths 10.306, 10.306, 10.306 Å; angles 152.05, 107.93, 78.98 degrees
Positions (direct):
Rb  0.000  0.000  0.000
Rb  0.309  0.309  0.000
Rb  0.691  0.691  0.000
Tl  0.298  0.500  0.798
Tl  0.500  0.000  0.500
Tl  0.702  0.500  0.202
Sn  0.028  0.661  0.368
Sn  0.119  0.844  0.276
Sn  0.293  0.661  0.632
Sn  0.432  0.156  0.276
Sn  0.568  0.844  0.724
Sn  0.707  0.339  0.368
Sn  0.881  0.156  0.724
Sn  0.972  0.339  0.632

Structure and simulated powder X-ray diffraction pattern of NpScCd2O6 (the PBE geometry in Alexandria; λ = 1.5418 Å (Cu Kα)).
Kinematic intensities with the Lorentz-polarization factor, no thermal factor.

Main lines, low angle first (2θ from 10° to 90°):
| 2θ/deg | I_rel |
| --- | --- |
| 18.80 | 34 |
| 19.14 | 34 |
| 31.04 | 100 |
| 31.16 | 67 |
| 31.90 | 32 |
| 55.25 | 31 |

Crystal structure
Cell lengths 5.611, 5.762, 9.938 Å; angles 90.00, 124.09, 90.00 degrees
Positions (direct):
Np  0.000  0.000  0.000
Np  0.000  0.500  0.500
Sc  0.500  0.000  0.500
Sc  0.500  0.500  0.000
Cd  0.244  0.044  0.749
Cd  0.244  0.456  0.249
Cd  0.756  0.544  0.751
Cd  0.756  0.956  0.251
O  0.126  0.190  0.440
O  0.126  0.310  0.940
O  0.253  0.690  0.439
O  0.253  0.810  0.939
O  0.366  0.060  0.254
O  0.366  0.440  0.754
O  0.634  0.560  0.246
O  0.634  0.940  0.746
O  0.747  0.190  0.061
O  0.747  0.310  0.561
O  0.874  0.690  0.060
O  0.874  0.810  0.560